No. 1
Pu3P2O3: calculated XRD peak list (λ = 1.5418 Å (Cu Kα)), based on the GGA-PBE geometry in Alexandria.
Peak positions follow from Bragg's law for the DFT cell and can differ from measured ones.

Cell lengths 7.980, 7.980, 4.761 Å; angles 90.00, 90.00, 120.00 degrees
Sites, in units of the cell vectors:
Pu: 0.000 0.313 0.250
Pu: 0.000 0.687 0.750
Pu: 0.313 0.000 0.250
Pu: 0.313 0.313 0.750
Pu: 0.687 0.000 0.750
Pu: 0.687 0.687 0.250
P: 0.333 0.667 0.000
P: 0.333 0.667 0.500
P: 0.667 0.333 0.000
P: 0.667 0.333 0.500
O: 0.000 0.239 0.750
O: 0.000 0.761 0.250
O: 0.239 0.000 0.750
O: 0.239 0.239 0.250
O: 0.761 0.000 0.250
O: 0.761 0.761 0.750

Top 6 peaks for 10° ≤ 2θ ≤ 90°, in order of rising 2θ:
2θ = 22.28°, intensity 26.1; 2θ = 29.20°, intensity 100.0; 2θ = 39.10°, intensity 39.7; 2θ = 49.54°, intensity 25.0; 2θ = 55.51°, intensity 20.8; 2θ = 64.85°, intensity 20.4


No. 2
LaNi5H7: calculated XRD peak list (λ = 1.5418 Å (Cu Kα)), based on the GGA-PBE geometry in Alexandria.
Peak positions follow from Bragg's law for the DFT cell and can differ from measured ones.

Cell lengths 4.135, 5.376, 5.504 Å; angles 79.23, 89.84, 67.39 degrees
Sites, in units of the cell vectors:
La: 0.000 0.000 0.000
Ni: 0.187 0.638 0.564
Ni: 0.314 0.419 0.156
Ni: 0.493 0.000 0.499
Ni: 0.733 0.581 0.844
Ni: 0.823 0.363 0.436
H: 0.035 0.388 0.671
H: 0.048 0.001 0.500
H: 0.365 0.528 0.865
H: 0.423 0.612 0.327
H: 0.464 0.078 0.202
H: 0.543 0.922 0.797
H: 0.893 0.471 0.133

Top 6 peaks for 10° ≤ 2θ ≤ 90°, in order of rising 2θ:
2θ = 27.61°, intensity 54.3; 2θ = 36.51°, intensity 67.5; 2θ = 39.36°, intensity 31.1; 2θ = 39.47°, intensity 30.7; 2θ = 41.49°, intensity 100.0; 2θ = 43.79°, intensity 45.5


No. 3
Tl3SbS4: calculated XRD peak list (λ = 1.5418 Å (Cu Kα)), based on the GGA-PBE geometry in Alexandria.
Peak positions follow from Bragg's law for the DFT cell and can differ from measured ones.

Cell lengths 6.418, 6.670, 12.083 Å; angles 95.02, 98.71, 105.36 degrees
Sites, in units of the cell vectors:
Tl: 0.041 0.067 0.291
Tl: 0.265 0.757 0.020
Tl: 0.299 0.746 0.477
Tl: 0.701 0.254 0.523
Tl: 0.735 0.243 0.980
Tl: 0.959 0.933 0.709
Sb: 0.419 0.489 0.750
Sb: 0.581 0.511 0.250
S: 0.212 0.526 0.229
S: 0.230 0.318 0.566
S: 0.261 0.310 0.892
S: 0.420 0.844 0.767
S: 0.580 0.156 0.233
S: 0.739 0.690 0.108
S: 0.770 0.682 0.434
S: 0.788 0.474 0.771

Top 6 peaks for 10° ≤ 2θ ≤ 90°, in order of rising 2θ:
2θ = 22.24°, intensity 94.5; 2θ = 22.88°, intensity 95.3; 2θ = 23.30°, intensity 100.0; 2θ = 30.01°, intensity 85.9; 2θ = 30.20°, intensity 49.7; 2θ = 30.49°, intensity 47.2


No. 4
AcYEr2: calculated XRD peak list (λ = 1.5418 Å (Cu Kα)), based on the GGA-PBE geometry in Alexandria.
Peak positions follow from Bragg's law for the DFT cell and can differ from measured ones.

Cell lengths 11.937, 11.937, 11.937 Å; angles 17.73, 17.73, 17.73 degrees
Sites, in units of the cell vectors:
Ac: 0.000 0.000 0.000
Y: 0.166 0.166 0.166
Er: 0.579 0.579 0.579
Er: 0.753 0.753 0.753

Top 6 peaks for 10° ≤ 2θ ≤ 90°, in order of rising 2θ:
2θ = 29.82°, intensity 30.3; 2θ = 30.44°, intensity 47.1; 2θ = 30.80°, intensity 100.0; 2θ = 33.28°, intensity 70.3; 2θ = 49.56°, intensity 38.4; 2θ = 59.28°, intensity 43.2


No. 5
U2PaSe4: calculated XRD peak list (λ = 1.5418 Å (Cu Kα)), based on the GGA-PBE geometry in Alexandria.
Peak positions follow from Bragg's law for the DFT cell and can differ from measured ones.

Cell lengths 6.955, 6.955, 13.825 Å; angles 90.00, 90.00, 147.17 degrees
Sites, in units of the cell vectors:
U: 0.141 0.859 0.562
U: 0.141 0.859 0.938
U: 0.859 0.141 0.062
U: 0.859 0.141 0.438
Pa: 0.388 0.612 0.750
Pa: 0.612 0.388 0.250
Se: 0.048 0.952 0.750
Se: 0.220 0.780 0.132
Se: 0.220 0.780 0.368
Se: 0.500 0.500 0.000
Se: 0.500 0.500 0.500
Se: 0.780 0.220 0.632
Se: 0.780 0.220 0.868
Se: 0.952 0.048 0.250

Top 6 peaks for 10° ≤ 2θ ≤ 90°, in order of rising 2θ:
2θ = 23.46°, intensity 100.0; 2θ = 31.04°, intensity 63.8; 2θ = 33.06°, intensity 78.5; 2θ = 40.45°, intensity 65.1; 2θ = 45.28°, intensity 29.8; 2θ = 46.18°, intensity 31.4


No. 6
BaPuPb2O8: calculated XRD peak list (λ = 1.5418 Å (Cu Kα)), based on the GGA-PBE geometry in Alexandria.
Peak positions follow from Bragg's law for the DFT cell and can differ from measured ones.

Cell lengths 5.336, 5.336, 7.241 Å; angles 90.00, 90.00, 90.99 degrees
Sites, in units of the cell vectors:
Ba: 0.000 0.000 0.000
Pu: 0.000 0.000 0.500
Pb: 0.500 0.500 0.256
Pb: 0.500 0.500 0.744
O: 0.182 0.182 0.309
O: 0.182 0.182 0.691
O: 0.299 0.701 0.500
O: 0.330 0.670 0.000
O: 0.670 0.330 0.000
O: 0.701 0.299 0.500
O: 0.818 0.818 0.309
O: 0.818 0.818 0.691

Top 6 peaks for 10° ≤ 2θ ≤ 90°, in order of rising 2θ:
2θ = 23.38°, intensity 55.3; 2θ = 23.79°, intensity 53.1; 2θ = 29.82°, intensity 100.0; 2θ = 33.60°, intensity 32.8; 2θ = 45.30°, intensity 40.6; 2θ = 45.76°, intensity 37.8


No. 7
NiCl5: calculated XRD peak list (λ = 1.5418 Å (Cu Kα)), based on the GGA-PBE geometry in Alexandria.
Peak positions follow from Bragg's law for the DFT cell and can differ from measured ones.

Cell lengths 3.392, 4.814, 9.710 Å; angles 90.00, 90.21, 90.00 degrees
Sites, in units of the cell vectors:
Ni: 0.000 0.000 0.000
Cl: 0.001 0.500 0.001
Cl: 0.064 0.500 0.400
Cl: 0.499 0.000 0.846
Cl: 0.500 0.000 0.154
Cl: 0.914 0.500 0.598

Top 6 peaks for 10° ≤ 2θ ≤ 90°, in order of rising 2θ:
2θ = 18.27°, intensity 38.5; 2θ = 20.59°, intensity 100.0; 2θ = 32.26°, intensity 49.8; 2θ = 37.35°, intensity 40.3; 2θ = 38.37°, intensity 26.3; 2θ = 38.52°, intensity 21.1


No. 8
Dy4Cd3Co: calculated XRD peak list (λ = 1.5418 Å (Cu Kα)), based on the GGA-PBE geometry in Alexandria.
Peak positions follow from Bragg's law for the DFT cell and can differ from measured ones.

Cell lengths 3.438, 3.438, 16.380 Å; angles 90.00, 90.00, 90.00 degrees
Sites, in units of the cell vectors:
Dy: 0.000 0.000 0.099
Dy: 0.000 0.000 0.366
Dy: 0.000 0.000 0.634
Dy: 0.000 0.000 0.901
Cd: 0.500 0.500 0.235
Cd: 0.500 0.500 0.500
Cd: 0.500 0.500 0.765
Co: 0.500 0.500 0.000

Top 6 peaks for 10° ≤ 2θ ≤ 90°, in order of rising 2θ:
2θ = 30.73°, intensity 11.5; 2θ = 34.05°, intensity 100.0; 2θ = 36.98°, intensity 47.7; 2θ = 53.30°, intensity 16.4; 2θ = 58.98°, intensity 11.2; 2θ = 64.77°, intensity 30.1


No. 9
Ac5ThZn4: calculated XRD peak list (λ = 1.5418 Å (Cu Kα)), based on the GGA-PBE geometry in Alexandria.
Peak positions follow from Bragg's law for the DFT cell and can differ from measured ones.

Cell lengths 3.872, 3.872, 20.999 Å; angles 90.00, 90.00, 90.00 degrees
Sites, in units of the cell vectors:
Ac: 0.000 0.000 0.000
Ac: 0.000 0.000 0.187
Ac: 0.000 0.000 0.377
Ac: 0.000 0.000 0.623
Ac: 0.000 0.000 0.813
Th: 0.500 0.500 0.500
Zn: 0.500 0.500 0.093
Zn: 0.500 0.500 0.282
Zn: 0.500 0.500 0.718
Zn: 0.500 0.500 0.907

Top 6 peaks for 10° ≤ 2θ ≤ 90°, in order of rising 2θ:
2θ = 22.97°, intensity 18.1; 2θ = 28.65°, intensity 12.4; 2θ = 31.42°, intensity 100.0; 2θ = 32.71°, intensity 56.6; 2θ = 46.93°, intensity 21.0; 2θ = 57.57°, intensity 36.6


No. 10
Ag2SO5: calculated XRD peak list (λ = 1.5418 Å (Cu Kα)), based on the GGA-PBE geometry in Alexandria.
Peak positions follow from Bragg's law for the DFT cell and can differ from measured ones.

Cell lengths 5.650, 5.650, 5.023 Å; angles 104.53, 104.53, 77.01 degrees
Sites, in units of the cell vectors:
Ag: 0.240 0.760 0.000
Ag: 0.760 0.240 0.000
S: 0.352 0.352 0.357
O: 0.086 0.441 0.244
O: 0.401 0.401 0.670
O: 0.441 0.086 0.244
O: 0.503 0.503 0.269
O: 0.958 0.958 0.765

Top 6 peaks for 10° ≤ 2θ ≤ 90°, in order of rising 2θ:
2θ = 18.65°, intensity 100.0; 2θ = 21.21°, intensity 96.3; 2θ = 23.37°, intensity 77.6; 2θ = 31.63°, intensity 86.6; 2θ = 33.26°, intensity 39.3; 2θ = 34.72°, intensity 50.0


No. 11
Sn4AsAu2: calculated XRD peak list (λ = 1.5418 Å (Cu Kα)), based on the GGA-PBE geometry in Alexandria.
Peak positions follow from Bragg's law for the DFT cell and can differ from measured ones.

Cell lengths 5.484, 4.061, 8.366 Å; angles 90.00, 108.24, 90.00 degrees
Sites, in units of the cell vectors:
Sn: 0.062 0.000 0.210
Sn: 0.289 0.500 0.664
Sn: 0.711 0.500 0.336
Sn: 0.938 0.000 0.790
As: 0.500 0.000 0.500
Au: 0.277 0.500 0.045
Au: 0.723 0.500 0.955

Top 6 peaks for 10° ≤ 2θ ≤ 90°, in order of rising 2θ:
2θ = 11.14°, intensity 46.0; 2θ = 32.35°, intensity 100.0; 2θ = 40.25°, intensity 31.5; 2θ = 40.67°, intensity 44.6; 2θ = 41.18°, intensity 54.5; 2θ = 44.63°, intensity 28.4


No. 12
Dy3Pd5: calculated XRD peak list (λ = 1.5418 Å (Cu Kα)), based on the GGA-PBE geometry in Alexandria.
Peak positions follow from Bragg's law for the DFT cell and can differ from measured ones.

Cell lengths 5.834, 5.834, 9.650 Å; angles 90.00, 90.00, 75.43 degrees
Sites, in units of the cell vectors:
Dy: 0.117 0.883 0.750
Dy: 0.297 0.297 0.000
Dy: 0.297 0.297 0.500
Dy: 0.703 0.703 0.000
Dy: 0.703 0.703 0.500
Dy: 0.883 0.117 0.250
Pd: 0.004 0.444 0.750
Pd: 0.189 0.811 0.045
Pd: 0.189 0.811 0.455
Pd: 0.444 0.004 0.250
Pd: 0.484 0.516 0.250
Pd: 0.516 0.484 0.750
Pd: 0.556 0.996 0.750
Pd: 0.811 0.189 0.545
Pd: 0.811 0.189 0.955
Pd: 0.996 0.556 0.250

Top 6 peaks for 10° ≤ 2θ ≤ 90°, in order of rising 2θ:
2θ = 36.89°, intensity 100.0; 2θ = 37.27°, intensity 31.8; 2θ = 39.07°, intensity 39.1; 2θ = 42.60°, intensity 28.0; 2θ = 55.10°, intensity 18.7; 2θ = 66.97°, intensity 14.4